1.
Simulated X-ray powder pattern
Compound: CeFeCo
Radiation: Cu Kα (λ = 1.5418 Å)
Structure: a PBE-relaxed structure
Intensities are scaled so that the largest is 100.

a = 4.909 Å, b = 5.203 Å, c = 7.153 Å
α = 90.00°, β = 90.00°, γ = 90.00°
Space group Imma (No. 74)
Asymmetric unit:
Ce  0.000  0.250  0.125
Fe  0.250  0.250  0.750
Co  0.000  0.000  0.500

Peak list (10 most intense, 2θ from 10° to 80°, low angle first)
| hkl | 2theta | I/Imax |
| --- | --- | --- |
| 0 2 0 | 34.48 | 26 |
| 1 1 2 | 35.53 | 100 |
| 2 0 0 | 36.61 | 24 |
| 1 2 1 | 41.25 | 87 |
| 0 1 3 | 41.67 | 41 |
| 1 0 3 | 42.14 | 41 |
| 2 1 1 | 42.65 | 76 |
| 0 2 2 | 42.99 | 22 |
| 1 3 2 | 62.45 | 19 |
| 2 2 4 | 75.21 | 36 |

=====

2.
Simulated X-ray powder pattern
Compound: Sr2In4Pt3
Radiation: Cu Kα (λ = 1.5418 Å)
Structure: a PBE-relaxed structure
Intensities are scaled so that the largest is 100.

a = 14.9372 Å, b = 14.9372 Å, c = 4.5489 Å
α = 90.00°, β = 90.00°, γ = 120.00°
Space group P-62m (No. 189)
Asymmetric unit:
Sr  0.0000  0.1863  0.0000
Sr  0.0000  0.5511  0.5000
Sr  0.3333  0.6667  0.5000
In  0.0000  0.0000  0.5000
In  0.0000  0.7220  0.0000
In  0.1256  0.4799  0.0000
In  0.1828  0.8047  0.5000
Pt  0.0000  0.3510  0.5000
Pt  0.0000  0.8198  0.5000
Pt  0.1693  0.6861  0.0000

Peak list (10 most intense, 2θ from 10° to 80°, low angle first)
| hkl | 2theta | I/Imax |
| --- | --- | --- |
| 2 2 0 | 23.83 | 44 |
| 2 2 1 | 30.98 | 100 |
| 3 1 1 | 31.75 | 85 |
| 4 1 1 | 37.50 | 48 |
| 0 0 2 | 39.63 | 65 |
| 5 0 1 | 40.09 | 66 |
| 6 0 0 | 41.90 | 73 |
| 5 1 1 | 43.75 | 32 |
| 4 3 1 | 47.18 | 33 |
| 6 0 2 | 59.03 | 51 |

=====

3.
Simulated X-ray powder pattern
Compound: BeHPt2
Radiation: Cu Kα (λ = 1.5418 Å)
Structure: a PBE-relaxed structure
Intensities are scaled so that the largest is 100.

a = 7.531 Å, b = 9.097 Å, c = 13.128 Å
α = 90.00°, β = 90.00°, γ = 90.00°
Space group Immm (No. 71)
Asymmetric unit:
Be  0.000  0.000  0.000
H  0.000  0.500  0.500
Pt  0.224  0.500  0.500

Peak list (10 most intense, 2θ from 10° to 80°, low angle first)
| hkl | 2theta | I/Imax |
| --- | --- | --- |
| 0 1 1 | 11.84 | 100 |
| 0 0 2 | 13.49 | 39 |
| 0 2 0 | 19.52 | 16 |
| 0 1 3 | 22.55 | 23 |
| 0 2 2 | 23.80 | 21 |
| 2 1 1 | 26.50 | 26 |
| 2 0 2 | 27.30 | 12 |
| 0 3 1 | 30.25 | 11 |
| 2 1 3 | 32.89 | 15 |
| 2 2 2 | 33.79 | 14 |

=====

4.
Simulated X-ray powder pattern
Compound: PbSe
Radiation: Cu Kα (λ = 1.5418 Å)
Structure: a PBE-relaxed structure
Intensities are scaled so that the largest is 100.

a = 4.415 Å, b = 4.415 Å, c = 12.399 Å
α = 100.23°, β = 100.23°, γ = 90.13°
Space group P1 (No. 1)
Asymmetric unit:
Pb  0.000  0.000  0.000
Pb  0.393  0.379  0.764
Se  0.500  0.501  0.004
Se  0.877  0.898  0.759

Peak list (10 most intense, 2θ from 10° to 80°, low angle first)
| hkl | 2theta | I/Imax |
| --- | --- | --- |
| 0 1 1 | 23.01 | 49 |
| 0 1 -3 | 27.45 | 40 |
| 1 1 -1 | 28.59 | 100 |
| 1 1 0 | 29.57 | 98 |
| 0 0 4 | 29.78 | 44 |
| 1 1 -4 | 36.51 | 42 |
| 2 0 -1 | 40.88 | 39 |
| 2 0 0 | 41.60 | 39 |
| 1 1 -5 | 41.76 | 71 |
| 2 0 -5 | 51.39 | 39 |

=====

5.
Simulated X-ray powder pattern
Compound: Ba3CdSn2S8
Radiation: Cu Kα (λ = 1.5418 Å)
Structure: a PBE-relaxed structure
Intensities are scaled so that the largest is 100.

a = 14.947 Å, b = 14.947 Å, c = 14.984 Å
α = 90.00°, β = 90.00°, γ = 90.00°
Space group I-42d (No. 122)
Asymmetric unit:
Ba  0.000  0.000  0.144
Ba  0.018  0.750  0.625
Ba  0.234  0.250  0.125
Cd  0.125  0.750  0.125
Sn  0.019  0.224  0.354
S  0.065  0.665  0.263
S  0.087  0.645  0.807
S  0.109  0.183  0.794
S  0.114  0.137  0.260

Peak list (10 most intense, 2θ from 10° to 80°, low angle first)
| hkl | 2theta | I/Imax |
| --- | --- | --- |
| 3 2 1 | 22.24 | 89 |
| 0 0 4 | 23.78 | 67 |
| 3 3 2 | 27.98 | 100 |
| 4 2 2 | 29.25 | 22 |
| 4 0 4 | 33.89 | 98 |
| 5 3 2 | 37.05 | 24 |
| 6 3 1 | 40.92 | 29 |
| 3 3 6 | 44.49 | 27 |
| 3 2 7 | 47.88 | 58 |
| 8 0 4 | 54.88 | 20 |

=====

6.
Simulated X-ray powder pattern
Compound: Ho2CdSe4
Radiation: Cu Kα (λ = 1.5418 Å)
Structure: a PBE-relaxed structure
Intensities are scaled so that the largest is 100.

a = 11.775 Å, b = 11.775 Å, c = 11.775 Å
α = 90.00°, β = 90.00°, γ = 90.00°
Space group Fd-3m (No. 227, origin choice 2)
Asymmetric unit:
Ho  0.000  0.000  0.000
Cd  0.125  0.125  0.625
Se  0.007  0.007  0.243

Peak list (10 most intense, 2θ from 10° to 80°, low angle first)
| hkl | 2theta | I/Imax |
| --- | --- | --- |
| 1 1 1 | 13.02 | 25 |
| 2 2 0 | 21.34 | 16 |
| 3 1 1 | 25.08 | 87 |
| 4 0 0 | 30.36 | 66 |
| 5 1 1 | 39.78 | 45 |
| 4 4 0 | 43.48 | 100 |
| 4 4 4 | 53.95 | 17 |
| 5 5 3 | 60.38 | 20 |
| 8 4 0 | 71.69 | 21 |
| 8 4 4 | 79.81 | 32 |

=====

7.
Simulated X-ray powder pattern
Compound: Dy3Pt4
Radiation: Cu Kα (λ = 1.5418 Å)
Structure: a PBE-relaxed structure
Intensities are scaled so that the largest is 100.

a = 13.2649 Å, b = 13.2649 Å, c = 5.7365 Å
α = 90.00°, β = 90.00°, γ = 120.00°
Space group R-3 (No. 148, hexagonal axes)
Asymmetric unit:
Dy  0.0410  0.8314  0.2389
Pt  0.0000  0.0000  0.0000
Pt  0.0000  0.0000  0.5000
Pt  0.0517  0.7813  0.7232

Peak list (10 most intense, 2θ from 10° to 80°, low angle first)
| hkl | 2theta | I/Imax |
| --- | --- | --- |
| 1 3 1 | 32.14 | 30 |
| 2 0 2 | 34.96 | 20 |
| 4 1 0 | 35.82 | 100 |
| 1 2 2 | 37.58 | 92 |
| 4 -1 2 | 42.40 | 20 |
| 2 3 2 | 46.80 | 15 |
| 6 -2 2 | 52.89 | 16 |
| 5 4 1 | 65.54 | 29 |
| 9 -1 1 | 72.19 | 18 |
| 10 -6 1 | 73.81 | 12 |

=====

8.
Simulated X-ray powder pattern
Compound: TmB4Rh
Radiation: Cu Kα (λ = 1.5418 Å)
Structure: a PBE-relaxed structure
Intensities are scaled so that the largest is 100.

a = 5.931 Å, b = 11.507 Å, c = 3.544 Å
α = 90.00°, β = 90.00°, γ = 90.00°
Space group Pbam (No. 55)
Asymmetric unit:
Tm  0.132  0.149  0.000
B  0.021  0.693  0.500
B  0.113  0.548  0.500
B  0.135  0.970  0.500
B  0.208  0.813  0.500
Rh  0.143  0.405  0.000

Peak list (10 most intense, 2θ from 10° to 80°, low angle first)
| hkl | 2theta | I/Imax |
| --- | --- | --- |
| 0 0 1 | 25.13 | 75 |
| 0 4 0 | 31.12 | 84 |
| 1 4 0 | 34.66 | 17 |
| 1 3 1 | 37.74 | 18 |
| 2 3 0 | 38.37 | 19 |
| 0 4 1 | 40.41 | 100 |
| 1 4 1 | 43.29 | 22 |
| 2 3 1 | 46.42 | 27 |
| 0 0 2 | 51.58 | 17 |
| 0 4 2 | 61.48 | 25 |

=====

Please write out number 5 again, unchanged.
Simulated X-ray powder pattern
Compound: Ba3CdSn2S8
Radiation: Cu Kα (λ = 1.5418 Å)
Structure: a PBE-relaxed structure
Intensities are scaled so that the largest is 100.

a = 14.947 Å, b = 14.947 Å, c = 14.984 Å
α = 90.00°, β = 90.00°, γ = 90.00°
Space group I-42d (No. 122)
Asymmetric unit:
Ba  0.000  0.000  0.144
Ba  0.018  0.750  0.625
Ba  0.234  0.250  0.125
Cd  0.125  0.750  0.125
Sn  0.019  0.224  0.354
S  0.065  0.665  0.263
S  0.087  0.645  0.807
S  0.109  0.183  0.794
S  0.114  0.137  0.260

Peak list (10 most intense, 2θ from 10° to 80°, low angle first)
| hkl | 2theta | I/Imax |
| --- | --- | --- |
| 3 2 1 | 22.24 | 89 |
| 0 0 4 | 23.78 | 67 |
| 3 3 2 | 27.98 | 100 |
| 4 2 2 | 29.25 | 22 |
| 4 0 4 | 33.89 | 98 |
| 5 3 2 | 37.05 | 24 |
| 6 3 1 | 40.92 | 29 |
| 3 3 6 | 44.49 | 27 |
| 3 2 7 | 47.88 | 58 |
| 8 0 4 | 54.88 | 20 |